This entry pairs a crystal structure of AlH6 with its calculated powder X-ray diffraction pattern. Radiation: Cu Kα. Structure: a DFT-relaxed cell (GGA-PBE, the Materials Project).
No peak broadening, texture or thermal motion is included.

Peak list (10 most intense, 2θ = 10–90°, sorted by position)
hkl  Position (°2θ)  I_rel
0 0 2  10.3  100
0 2 0  16.2  36
1 1 -1  19.0  84
0 2 2  19.3  67
0 0 4  20.6  25
1 1 -3  23.9  27
1 1 3  24.1  28
0 2 4  26.4  20
1 3 1  30.0  30
0 4 2  34.5  14

Atomic structure:
Cell: 5.432 10.916 17.211 Å, 90.00 90.61 90.00°
Space group C2/c (No. 15)
Inequivalent atoms, fractional coordinates:
Al: 0.250 0.250 0.000
H: 0.019 0.197 0.497
H: 0.069 0.436 0.750
H: 0.123 0.125 0.629